Structure and calculated XRD peak list of RbPbF3 (the GGA-PBE geometry in the Materials Project; Cu Kα (λ = 1.5418 Å)).
Kinematic intensities with the Lorentz-polarization factor, no thermal factor.

Structural model:
Lattice parameters (Å, degrees): 4.742 4.765 20.001 89.18 88.48 89.92
Space group P1 (No. 1)
Inequivalent atoms, fractional coordinates:
Rb (0.000, 0.000, 0.000) (multiplicity 1)
Rb (0.000, 0.127, 0.504) (multiplicity 1)
Rb (0.411, 0.485, 0.145) (multiplicity 1)
Rb (0.413, 0.612, 0.649) (multiplicity 1)
Pb (0.524, 0.624, 0.400) (multiplicity 1)
Pb (0.525, 0.512, 0.896) (multiplicity 1)
Pb (0.884, 0.987, 0.249) (multiplicity 1)
Pb (0.891, 0.099, 0.754) (multiplicity 1)
F (0.029, 0.635, 0.421) (multiplicity 1)
F (0.030, 0.504, 0.918) (multiplicity 1)
F (0.377, 0.977, 0.227) (multiplicity 1)
F (0.386, 0.108, 0.732) (multiplicity 1)
F (0.521, 0.124, 0.419) (multiplicity 1)
F (0.523, 0.009, 0.915) (multiplicity 1)
F (0.530, 0.614, 0.512) (multiplicity 1)
F (0.531, 0.505, 0.008) (multiplicity 1)
F (0.875, 0.996, 0.137) (multiplicity 1)
F (0.887, 0.106, 0.641) (multiplicity 1)
F (0.889, 0.487, 0.229) (multiplicity 1)
F (0.890, 0.602, 0.734) (multiplicity 1)

Most intense lines, 2θ from 15° to 90°, low angle first:
17.7°, intensity 27, (0 0 4)
20.5°, intensity 58, (1 0 2)
25.6°, intensity 100, (0 1 4)
26.0°, intensity 57, (0 1 -4)
26.3°, intensity 60, (1 0 -4)
26.5°, intensity 96, (1 -1 0)
26.8°, intensity 22, (0 0 6)
35.9°, intensity 29, (0 0 8)
37.8°, intensity 23, (0 2 0)
38.0°, intensity 24, (2 0 0)

---

Structure and calculated XRD peak list of RbPbF3 (the GGA-PBE geometry in the Materials Project; Cu Kα (λ = 1.5418 Å)).
Kinematic intensities with the Lorentz-polarization factor, no thermal factor.

Structural model:
Lattice parameters (Å, degrees): 4.862 4.862 4.862 90.00 90.00 90.00
Space group Pm-3m (No. 221)
Inequivalent atoms, fractional coordinates:
Rb (0.000, 0.000, 0.000) (multiplicity 1)
Pb (0.500, 0.500, 0.500) (multiplicity 1)
F (0.000, 0.500, 0.500) (multiplicity 3)

Most intense lines, 2θ from 15° to 90°, low angle first:
18.2°, intensity 29, (1 0 0)
25.9°, intensity 100, (1 1 0)
37.0°, intensity 33, (2 0 0)
41.5°, intensity 15, (2 1 0)
45.7°, intensity 45, (2 1 1)
53.3°, intensity 23, (2 2 0)
56.8°, intensity 8, (3 0 0)
60.2°, intensity 20, (3 1 0)
72.8°, intensity 24, (3 2 1)
84.6°, intensity 13, (4 1 1)

---

Structure and calculated XRD peak list of RbPbF3 (the GGA-PBE geometry in the Materials Project; Cu Kα (λ = 1.5418 Å)).
Kinematic intensities with the Lorentz-polarization factor, no thermal factor.

Structural model:
Lattice parameters (Å, degrees): 8.003 8.166 7.513 90.00 90.00 90.00
Space group Ima2 (No. 46)
Inequivalent atoms, fractional coordinates:
Rb (0.250, 0.016, 0.000) (multiplicity 4)
Pb (0.000, 0.000, 0.478) (multiplicity 4)
F (0.000, 0.000, 0.771) (multiplicity 4)
F (0.250, 0.158, 0.369) (multiplicity 4)
F (0.250, 0.673, 0.022) (multiplicity 4)

Most intense lines, 2θ from 15° to 90°, low angle first:
16.0°, intensity 40, (0 1 1)
21.8°, intensity 51, (0 2 0)
23.7°, intensity 43, (0 0 2)
27.5°, intensity 100, (2 1 1)
32.4°, intensity 30, (0 2 2)
41.9°, intensity 45, (2 3 1)
44.1°, intensity 35, (2 1 3)
50.9°, intensity 20, (4 2 0)
54.8°, intensity 18, (2 3 3)
56.8°, intensity 13, (4 2 2)